Starting from a crystal structure in Alexandria, relaxed with PBE, the X-ray diffraction stick pattern of Zn2SiO4 was computed for copper Kα.
Neutral-atom scattering factors, no anomalous dispersion.

Cell and atoms:
Cell lengths 8.7518, 8.7518, 8.7518 Å; angles 107.88, 107.88, 107.88 degrees
Sites, in units of the cell vectors:
Zn: 0.0991 0.2780 0.8752
Zn: 0.1248 0.9009 0.7220
Zn: 0.2047 0.4399 0.6102
Zn: 0.2780 0.8752 0.0991
Zn: 0.3898 0.7953 0.5601
Zn: 0.4399 0.6102 0.2047
Zn: 0.5601 0.3898 0.7953
Zn: 0.6102 0.2047 0.4399
Zn: 0.7220 0.1248 0.9009
Zn: 0.7953 0.5601 0.3898
Zn: 0.8752 0.0991 0.2780
Zn: 0.9009 0.7220 0.1248
Si: 0.0536 0.4597 0.2353
Si: 0.2353 0.0536 0.4597
Si: 0.4597 0.2353 0.0536
Si: 0.5403 0.7647 0.9464
Si: 0.7647 0.9464 0.5403
Si: 0.9464 0.5403 0.7647
O: 0.0261 0.6908 0.9721
O: 0.0279 0.9739 0.3092
O: 0.0339 0.3532 0.3602
O: 0.0664 0.4277 0.7512
O: 0.2488 0.9336 0.5722
O: 0.2665 0.5990 0.3123
O: 0.3092 0.0279 0.9739
O: 0.3123 0.2665 0.5990
O: 0.3532 0.3602 0.0339
O: 0.3602 0.0339 0.3532
O: 0.4010 0.6877 0.7335
O: 0.4278 0.7512 0.0664
O: 0.5723 0.2488 0.9336
O: 0.5990 0.3123 0.2665
O: 0.6398 0.9661 0.6468
O: 0.6468 0.6398 0.9661
O: 0.6877 0.7335 0.4010
O: 0.6908 0.9721 0.0261
O: 0.7335 0.4010 0.6877
O: 0.7512 0.0664 0.4277
O: 0.9336 0.5722 0.2488
O: 0.9661 0.6468 0.6398
O: 0.9721 0.0261 0.6908
O: 0.9739 0.3092 0.0279

Top 10 peaks for 2θ from 15° to 90°, by angle:
Position (°2θ)  Rel. int.
21.8  27.5
25.2  77.7
31.2  89.0
33.5  100.0
38.3  55.3
48.3  48.1
56.7  15.9
64.6  46.8
67.6  21.3
69.4  21.2